# TmCo4Sn4Ge2
Calculated powder X-ray diffraction pattern, Cu Kα (weighted mean of Kα1 and Kα2). Input: a DFT-relaxed cell (GGA-PBE, OQMD).
Neutral-atom scattering factors, no anomalous dispersion.

Most intense lines, 10 to 90 degrees two-theta, by angle:
(1 0 3), 31.39°, 2.850 Å, intensity 34
(2 1 1), 32.79°, 2.731 Å, intensity 100
(2 0 2), 33.81°, 2.651 Å, intensity 70
(2 2 0), 40.01°, 2.253 Å, intensity 37
(2 1 3), 42.56°, 2.124 Å, intensity 61
(1 1 4), 42.83°, 2.111 Å, intensity 51
(3 0 1), 43.64°, 2.074 Å, intensity 42
(2 2 4), 56.10°, 1.639 Å, intensity 25

Atomic structure:
a b c (Å): 6.373 6.373 9.558
angles (deg): 90.00 90.00 90.00
Space group I-42m (No. 121)
Unique sites:
Tm1 0.000 0.000 0.000
Co1 0.182 0.182 0.433
Sn1 0.176 0.176 0.708
Ge1 0.000 0.500 0.000



# Cu5Ag4
Calculated powder X-ray diffraction pattern, Cu Kα (weighted mean of Kα1 and Kα2). Input: a DFT-relaxed cell (GGA-PBE, OQMD).
Neutral-atom scattering factors, no anomalous dispersion.

Most intense lines, 10 to 90 degrees two-theta, by angle:
(1 1 -3), 40.21°, 2.243 Å, intensity 97
(3 1 0), 40.35°, 2.236 Å, intensity 100
(4 0 -3), 46.38°, 1.958 Å, intensity 33
(0 2 0), 47.08°, 1.930 Å, intensity 60
(4 2 -3), 68.27°, 1.374 Å, intensity 19
(2 2 3), 68.78°, 1.365 Å, intensity 17
(7 1 -3), 81.93°, 1.176 Å, intensity 11
(3 3 0), 82.92°, 1.164 Å, intensity 19

Atomic structure:
a b c (Å): 8.715 3.857 8.272
angles (deg): 90.00 109.21 90.00
Space group Cm (No. 8)
Unique sites:
Cu1 0.000 0.000 0.000
Cu2 0.002 0.000 0.314
Cu3 0.189 0.500 0.896
Cu4 0.339 0.000 0.096
Cu5 0.356 0.000 0.801
Ag1 0.020 0.000 0.688
Ag2 0.167 0.500 0.204
Ag3 0.182 0.500 0.562
Ag4 0.345 0.000 0.434